Calculated PXRD pattern
Compound: Li2Mn3GaO8
Radiation: Cu Kα (weighted mean of Kα1 and Kα2)
Structure: a cell relaxed with GGA+U
Lines closer than 0.1° are merged.

Atomic structure:
Cell: 5.902 5.993 10.166 Å, 90.00 125.28 90.00°
Space group P2/c (No. 13)
One atom of each set of equivalent atoms:
Li1 0.114 0.249 0.126 [4 per cell]
Mn1 0.000 0.263 0.750 [2 per cell]
Mn2 0.500 0.000 0.000 [2 per cell]
Mn3 0.500 0.500 0.000 [2 per cell]
Ga1 0.500 0.253 0.750 [2 per cell]
O1 0.242 0.279 0.983 [4 per cell]
O2 0.248 0.038 0.759 [4 per cell]
O3 0.263 0.481 0.766 [4 per cell]
O4 0.296 0.251 0.509 [4 per cell]

Top 10 peaks for 5 to 70 degrees two-theta, in order of falling intensity:
Position (°2θ), I_rel
18.26, 100
18.44, 75
43.02, 63
35.59, 31
43.63, 31
63.02, 28
35.29, 26
35.76, 20
62.85, 19
56.74, 13